Starting from a cell relaxed with PBE, the X-ray diffraction stick pattern of LiZr2Cd6 was simulated for CuKα.
Kinematic intensities with the Lorentz-polarization factor, no thermal factor.

Structure:
Cell: 8.4769 8.4769 3.0870 Å, 90.00 90.00 120.00°
Space group P6/mmm (No. 191)
Symmetry-distinct sites (fractional):
1 Li 0.0000 0.0000 0.0000 [1 per cell]
2 Zr 0.3333 0.6667 0.0000 [2 per cell]
3 Cd 0.0000 0.3327 0.5000 [6 per cell]

Main lines, sorted by position (2θ from 15° to 90°):
(hkl)  2theta  I/Imax
0 0 1  28.92  20
1 1 1  35.99  78
3 0 0  36.73  100
3 0 1  47.41  30
2 2 1  52.37  26
4 1 1  65.66  26
3 3 0  66.14  17
3 0 2  72.39  25